For LaPr8Tm5, the PBE geometry in Alexandria gives the theoretical X-ray powder pattern in this record (Cu Kα X-rays).

Largest 10 diffraction maxima, low angle first, 10° ≤ 2θ ≤ 90°:
(1 -2 2), 2θ = 25.7°, rel. 45; (-2 2 1), 2θ = 29.2°, rel. 39; (2 1 -2), 2θ = 31.1°, rel. 92; (1 1 1), 2θ = 31.3°, rel. 91; (1 -3 1), 2θ = 31.6°, rel. 100; (2 -2 2), 2θ = 31.8°, rel. 62; (0 2 -3), 2θ = 32.3°, rel. 40; (3 -1 0), 2θ = 32.5°, rel. 43; (1 0 -3), 2θ = 33.6°, rel. 47; (-3 2 1), 2θ = 34.0°, rel. 41

Structural model:
a b c (Å): 8.612 8.628 8.702
angles (deg): 112.87 98.89 116.63
Space group P1 (No. 1)
Unique sites:
1 La 0.000 0.000 0.000 [1 per cell]
2 Pr 0.051 0.259 0.784 [1 per cell]
3 Pr 0.074 0.705 0.076 [1 per cell]
4 Pr 0.194 0.260 0.464 [1 per cell]
5 Pr 0.347 0.780 0.830 [1 per cell]
6 Pr 0.459 0.057 0.588 [1 per cell]
7 Pr 0.484 0.280 0.217 [1 per cell]
8 Pr 0.631 0.719 0.628 [1 per cell]
9 Pr 0.665 0.960 0.286 [1 per cell]
10 Tm 0.273 0.541 0.258 [1 per cell]
11 Tm 0.578 0.516 0.941 [1 per cell]
12 Tm 0.790 0.261 0.053 [1 per cell]
13 Tm 0.856 0.470 0.608 [1 per cell]
14 Tm 0.931 0.760 0.411 [1 per cell]